Record 1
Na6CdAu3: computed powder diffraction line list (Cu Ka), based on the GGA-PBE geometry in Alexandria.
Peak positions follow from Bragg's law for the DFT cell and can differ from measured ones.

The 10 most intense peaks (2θ = 10–90°), in order of rising 2θ:
| 2θ (°) | I_rel |
| --- | --- |
| 19.91 | 1000 |
| 33.27 | 115 |
| 34.81 | 307 |
| 34.94 | 153 |
| 35.71 | 100 |
| 37.46 | 181 |
| 40.52 | 114 |
| 40.68 | 149 |
| 44.74 | 101 |
| 54.38 | 99 |

Structural model:
```
Na6CdAu3
1.0
9.7301 0.0000 0.0000
0.0000 5.1355 0.0000
-5.4054 0.0000 10.0573
Na Cd Au
12 2 6
Direct
0.0025 0.0001 0.3409
0.0025 0.4999 0.8409
0.3119 0.0008 0.9660
0.3119 0.4992 0.4660
0.3694 0.5025 0.1905
0.3694 0.9975 0.6905
0.6306 0.0025 0.3095
0.6306 0.4975 0.8095
0.6881 0.5008 0.5340
0.6881 0.9992 0.0340
0.9975 0.9999 0.6591
0.9975 0.5001 0.1591
0.0000 0.0000 0.0000
0.0000 0.5000 0.5000
0.2496 0.0016 0.2520
0.2496 0.4984 0.7520
0.5000 0.0000 0.5000
0.5000 0.5000 0.0000
0.7504 0.5016 0.2480
0.7504 0.9984 0.7480
```

Record 2
NaCd4Au6: computed powder diffraction line list (Cu Ka), based on the GGA-PBE geometry in Alexandria.
Peak positions follow from Bragg's law for the DFT cell and can differ from measured ones.

The 10 most intense peaks (2θ = 10–90°), in order of rising 2θ:
| 2θ (°) | I_rel |
| --- | --- |
| 15.17 | 1000 |
| 24.51 | 388 |
| 30.61 | 452 |
| 36.58 | 525 |
| 38.07 | 964 |
| 38.29 | 760 |
| 39.81 | 532 |
| 41.08 | 505 |
| 42.44 | 373 |
| 44.53 | 368 |

Structural model:
```
NaCd4Au6
1.0
-3.4742 3.4742 5.3925
3.4742 -3.4742 5.3925
3.4742 3.4742 -5.3925
Na Cd Au
1 4 6
Direct
0.0000 0.0000 0.0000
0.1022 0.1022 0.5691
0.4669 0.8978 0.0000
0.5331 0.5331 0.4309
0.8978 0.4669 0.0000
0.0000 0.5000 0.5000
0.2413 0.5779 0.0000
0.4221 0.4221 0.6635
0.5000 0.0000 0.5000
0.5779 0.2413 0.0000
0.7587 0.7587 0.3365
```

Record 3
Na2Cd5Au4: computed powder diffraction line list (Cu Ka), based on the GGA-PBE geometry in Alexandria.
Peak positions follow from Bragg's law for the DFT cell and can differ from measured ones.

The 10 most intense peaks (2θ = 10–90°), in order of rising 2θ:
| 2θ (°) | I_rel |
| --- | --- |
| 19.17 | 950 |
| 20.01 | 570 |
| 26.20 | 472 |
| 34.76 | 757 |
| 36.68 | 1000 |
| 37.03 | 711 |
| 37.94 | 678 |
| 38.32 | 802 |
| 39.35 | 773 |
| 42.39 | 452 |

Structural model:
```
Na2Cd5Au4
1.0
5.5069 0.0000 0.0000
2.5257 6.4556 0.0000
2.7238 0.6705 6.7460
Na Cd Au
2 5 4
Direct
0.1824 0.3004 0.3275
0.8176 0.6996 0.6725
0.2508 0.5760 0.9200
0.2789 0.1028 0.8761
0.5000 0.5000 0.5000
0.7211 0.8972 0.1239
0.7492 0.4240 0.0800
0.2335 0.7799 0.2245
0.2586 0.9083 0.5822
0.7414 0.0917 0.4178
0.7665 0.2201 0.7755
```

Record 4
Na2CdAu3: computed powder diffraction line list (Cu Ka), based on the GGA-PBE geometry in Alexandria.
Peak positions follow from Bragg's law for the DFT cell and can differ from measured ones.

The 10 most intense peaks (2θ = 10–90°), in order of rising 2θ:
| 2θ (°) | I_rel |
| --- | --- |
| 10.55 | 342 |
| 17.97 | 566 |
| 22.70 | 1000 |
| 33.62 | 443 |
| 35.36 | 891 |
| 36.29 | 464 |
| 36.83 | 619 |
| 37.14 | 592 |
| 38.57 | 634 |
| 47.10 | 379 |

Structural model:
```
Na2CdAu3
1.0
5.3348 0.0000 0.0000
-0.0100 5.7859 0.0000
-0.0010 -0.6594 8.3821
Na Cd Au
4 2 6
Direct
0.2504 0.1464 0.3312
0.2504 0.1745 0.6981
0.7496 0.8255 0.3019
0.7496 0.8536 0.6688
0.2502 0.5681 0.1236
0.7498 0.4319 0.8764
0.0000 0.0000 0.0000
0.2490 0.6574 0.4643
0.2493 0.6643 0.7932
0.5000 0.0000 0.0000
0.7507 0.3357 0.2068
0.7510 0.3426 0.5357
```

Repeat the first record exactly.
Na6CdAu3: computed powder diffraction line list (Cu Ka), based on the GGA-PBE geometry in Alexandria.
Peak positions follow from Bragg's law for the DFT cell and can differ from measured ones.

The 10 most intense peaks (2θ = 10–90°), in order of rising 2θ:
| 2θ (°) | I_rel |
| --- | --- |
| 19.91 | 1000 |
| 33.27 | 115 |
| 34.81 | 307 |
| 34.94 | 153 |
| 35.71 | 100 |
| 37.46 | 181 |
| 40.52 | 114 |
| 40.68 | 149 |
| 44.74 | 101 |
| 54.38 | 99 |

Structural model:
```
Na6CdAu3
1.0
9.7301 0.0000 0.0000
0.0000 5.1355 0.0000
-5.4054 0.0000 10.0573
Na Cd Au
12 2 6
Direct
0.0025 0.0001 0.3409
0.0025 0.4999 0.8409
0.3119 0.0008 0.9660
0.3119 0.4992 0.4660
0.3694 0.5025 0.1905
0.3694 0.9975 0.6905
0.6306 0.0025 0.3095
0.6306 0.4975 0.8095
0.6881 0.5008 0.5340
0.6881 0.9992 0.0340
0.9975 0.9999 0.6591
0.9975 0.5001 0.1591
0.0000 0.0000 0.0000
0.0000 0.5000 0.5000
0.2496 0.0016 0.2520
0.2496 0.4984 0.7520
0.5000 0.0000 0.5000
0.5000 0.5000 0.0000
0.7504 0.5016 0.2480
0.7504 0.9984 0.7480
```